1.
For Na3Sr2Tl2, a PBE-relaxed structure gives the calculated X-ray powder pattern in this record (CuKα).
Neutral-atom scattering factors, no anomalous dispersion.

Largest 10 diffraction maxima, by intensity, 10 to 90 degrees two-theta:
d_spacing, I_rel
2.708, 100.0
3.022, 99.3
2.890, 61.5
3.227, 42.6
2.379, 41.8
2.587, 38.3
3.961, 30.8
2.531, 26.2
1.696, 25.6
2.400, 23.3

Cell and atoms:
```
Na3Sr2Tl2
1.0
2.5870 -12.1926 0.0000
2.5870 12.1926 0.0000
0.0000 0.0000 4.1884
Na Sr Tl
3 2 2
Direct
0.0000 0.0000 0.0000
0.4260 0.5740 0.5000
0.5740 0.4260 0.5000
0.1731 0.8269 0.0000
0.8269 0.1731 0.0000
0.2917 0.7083 0.5000
0.7083 0.2917 0.5000
```

***

2.
For Ho4Cd2In5, a PBE-relaxed structure gives the calculated X-ray powder pattern in this record (CuKα).
Neutral-atom scattering factors, no anomalous dispersion.

Largest 10 diffraction maxima, by intensity, 10 to 90 degrees two-theta:
d_spacing, I_rel
2.723, 100.0
2.713, 41.2
2.429, 29.0
2.415, 22.8
2.401, 21.5
1.438, 18.3
1.790, 13.9
1.441, 13.5
1.443, 10.4
1.806, 10.3

Cell and atoms:
```
Ho4Cd2In5
1.0
8.3640 0.0000 0.0000
0.0000 3.5799 0.0000
-0.1302 0.0000 9.6613
Ho Cd In
4 2 5
Direct
0.2253 0.0000 0.1336
0.2514 0.0000 0.6222
0.7486 0.0000 0.3778
0.7747 0.0000 0.8664
0.0833 0.5000 0.3764
0.9167 0.5000 0.6236
0.1162 0.5000 0.8760
0.4336 0.5000 0.3529
0.5000 0.5000 0.0000
0.5664 0.5000 0.6471
0.8838 0.5000 0.1240
```